For Mg14VGa, a PBE-relaxed structure gives the theoretical X-ray diffraction stick pattern in this record (a wavelength of 1.5418 Å).

Largest 10 diffraction maxima, in order of rising 2θ, 2θ = 10–90°:
| d (Å) | I (rel.) | index |
| --- | --- | --- |
| 5.431 | 13 | 1 0 0 |
| 3.736 | 9 | 1 0 2 |
| 2.716 | 25 | 2 0 0 |
| 2.573 | 27 | 0 0 4 |
| 2.402 | 100 | 2 0 2 |
| 1.868 | 16 | 2 0 4 |
| 1.568 | 17 | 2 2 0 |
| 1.450 | 19 | 2 0 6 |
| 1.339 | 19 | 2 2 4 |
| 1.313 | 13 | 4 0 2 |

Crystal structure
```
Mg14VGa
1.0
6.2713 0.0000 0.0000
-3.1357 5.4311 0.0000
0.0000 0.0000 10.2925
Mg V Ga
14 1 1
Cartesian
0.0000 0.0000 2.5747
0.0000 0.0000 7.7179
-1.5392 2.7321 2.5660
-1.5392 2.7321 7.7266
1.5641 0.9030 5.1463
1.5739 0.9087 0.0000
1.5392 2.7321 2.5660
1.5392 2.7321 7.7266
0.0000 5.3980 2.5660
0.0000 5.3980 7.7266
4.6975 0.9087 0.0000
3.1357 3.6138 0.0000
4.7073 0.9030 5.1463
3.1357 3.6251 5.1463
0.0000 3.6208 0.0000
0.0000 3.6208 5.1463
```

For NaTeAu, a PBE-relaxed structure gives the theoretical X-ray diffraction stick pattern in this record (a wavelength of 1.5418 Å).

Largest 10 diffraction maxima, in order of rising 2θ, 2θ = 10–90°:
| d (Å) | I (rel.) | index |
| --- | --- | --- |
| 4.344 | 100 | 0 0 2 |
| 4.079 | 54 | 1 0 0 |
| 2.973 | 92 | 1 0 2 |
| 2.355 | 84 | 1 1 0 |
| 2.172 | 22 | 0 0 4 |
| 2.070 | 86 | 1 1 2 |
| 1.846 | 23 | 2 0 2 |
| 1.597 | 52 | 1 1 4 |
| 1.453 | 21 | 2 1 2 |
| 1.297 | 19 | 3 0 2 |

Crystal structure
```
NaTeAu
1.0
4.7097 0.0000 0.0000
-2.3548 4.0787 0.0000
0.0000 0.0000 8.6876
Na Te Au
2 2 2
Cartesian
0.0000 0.0000 0.0000
0.0000 0.0000 4.3438
0.0000 2.7191 2.1719
2.3548 1.3596 6.5157
0.0000 2.7191 6.5157
2.3548 1.3596 2.1719
```

For As12S13, a PBE-relaxed structure gives the theoretical X-ray diffraction stick pattern in this record (a wavelength of 1.5418 Å).

Largest 10 diffraction maxima, in order of rising 2θ, 2θ = 10–90°:
| d (Å) | I (rel.) | index |
| --- | --- | --- |
| 7.892 | 46 | 1 0 0 |
| 7.538 | 32 | 0 1 2 |
| 7.347 | 87 | 1 0 -1 |
| 6.464 | 38 | 1 1 0 |
| 5.798 | 44 | 0 1 -3 |
| 5.732 | 100 | 1 -1 1 |
| 5.702 | 27 | -1 1 1 |
| 5.434 | 46 | 1 1 -2 |
| 4.628 | 41 | 1 0 4 |
| 3.554 | 28 | 1 -1 5 |

Crystal structure
```
As12S13
1.0
7.9345 0.0000 0.0000
0.9281 9.9036 0.0000
1.0580 0.9430 22.1346
As S
24 26
Cartesian
0.0000 0.0000 0.0000
0.7108 5.4856 4.3089
1.8468 4.4773 17.8576
1.8598 2.1312 18.7903
2.4758 9.7078 8.6535
2.0456 0.8401 15.6113
2.1446 0.3332 1.0976
4.9408 6.5522 18.6657
4.0436 4.4922 1.1862
4.1852 1.1550 3.4888
5.1583 8.5397 2.8750
5.5612 9.8816 8.1974
6.4548 8.7911 15.7451
6.3556 8.3573 6.4273
6.5430 5.7188 12.0609
6.8988 4.3695 21.8737
6.3722 1.4808 1.5040
6.6996 3.9599 3.3907
7.3189 3.3579 12.6824
7.6883 1.5387 16.2023
8.6807 9.0151 16.7470
7.8865 2.8272 10.3132
8.4793 9.0462 10.2161
8.9453 9.9736 14.2457
1.4975 7.1818 11.1029
1.5113 4.2651 15.5051
1.2252 0.8482 10.7896
1.9412 2.7457 21.0402
2.4188 4.2409 4.0824
2.8747 9.0033 3.1385
2.8244 2.9010 14.7869
3.4621 6.9128 20.4899
2.1741 0.3695 4.7628
3.7079 3.2762 18.1408
3.4699 6.4082 0.0252
4.2119 8.4054 9.2266
5.5682 9.0567 18.1257
5.2250 6.1386 13.9103
5.2859 7.2103 4.7689
6.4321 6.4824 15.5468
5.9062 2.3093 11.1970
5.7147 1.4898 5.2176
6.8168 6.0789 19.5375
7.2854 9.3499 19.0726
6.2945 5.0874 1.2578
7.8252 9.7201 5.3425
7.6978 6.7577 7.4164
7.5312 5.0098 6.4152
8.3582 6.8828 12.8385
8.1318 2.4711 2.5347
```

For YCo3Ni2, a PBE-relaxed structure gives the theoretical X-ray diffraction stick pattern in this record (a wavelength of 1.5418 Å).

Largest 10 diffraction maxima, in order of rising 2θ, 2θ = 10–90°:
| d (Å) | I (rel.) | index |
| --- | --- | --- |
| 2.903 | 25 | 1 0 1 |
| 2.432 | 25 | 1 1 0 |
| 2.106 | 29 | 2 0 0 |
| 2.079 | 100 | 1 1 1 |
| 2.004 | 31 | 0 0 2 |
| 1.864 | 22 | 2 0 1 |
| 1.452 | 16 | 2 0 2 |
| 1.325 | 21 | 3 0 1 |
| 1.216 | 16 | 2 2 0 |
| 1.171 | 14 | 1 1 3 |

Crystal structure
```
YCo3Ni2
1.0
4.8636 0.0000 0.0000
-2.4318 4.2120 0.0000
0.0000 0.0000 4.0075
Y Co Ni
1 3 2
Cartesian
0.0000 0.0000 0.0000
-1.2159 2.1060 2.0038
2.4318 0.0000 2.0038
1.2159 2.1060 2.0038
0.0000 2.8080 0.0000
2.4318 1.4040 0.0000
```